This entry pairs a crystal structure of SiP2O7 with its theoretical X-ray powder pattern. Radiation: λ = 1.5418 Å (Cu Kα). Structure: a GGA-PBE-relaxed structure.
Kinematic intensities with the Lorentz-polarization factor, no thermal factor.

Largest 10 diffraction maxima, most intense first, 2θ = 10–80°:
d [Å]  I (rel.)  (hkl)
3.727  100  1 1 -1
3.232  52  0 1 4
3.745  49  0 0 4
5.886  38  0 1 1
3.848  33  1 1 0
3.423  31  1 1 -2
2.624  28  1 2 1
4.051  21  1 0 -2
1.562  16  2 3 2
1.797  11  0 1 8

Cell and atoms:
```
data_SiP2O7
_cell_length_a 4.816
_cell_length_b 6.400
_cell_length_c 14.981
_cell_angle_alpha 90.00
_cell_angle_beta 90.02
_cell_angle_gamma 90.00
_symmetry_space_group_name_H-M 'P 1 21/c 1'
_symmetry_Int_Tables_number 14
loop_
_symmetry_equiv_pos_as_xyz
'x,y,z'
'-x,-y,-z'
'-x,y+1/2,-z+1/2'
'x,-y+1/2,z+1/2'
loop_
_atom_site_label
_atom_site_type_symbol
_atom_site_fract_x
_atom_site_fract_y
_atom_site_fract_z
Si1 Si 0.250 0.085 0.135
P1 P 0.253 0.189 0.927
P2 P 0.261 0.603 0.831
O1 O 0.045 0.746 0.366
O2 O 0.048 0.631 0.593
O3 O 0.170 0.010 0.247
O4 O 0.283 0.066 0.410
O5 O 0.332 0.169 0.025
O6 O 0.453 0.203 0.678
O7 O 0.458 0.081 0.865
```

This entry pairs a crystal structure of SiP2O7 with its theoretical X-ray powder pattern. Radiation: λ = 1.5418 Å (Cu Kα). Structure: a GGA-PBE-relaxed structure.
Kinematic intensities with the Lorentz-polarization factor, no thermal factor.

Largest 10 diffraction maxima, most intense first, 2θ = 10–80°:
d [Å]  I (rel.)  (hkl)
2.892  100  1 1 1
2.833  83  1 0 -2
3.121  66  0 2 1
2.667  53  1 2 -1
3.618  31  0 2 0
3.646  23  1 1 0
1.916  20  1 3 1
1.973  15  1 1 -3
1.663  14  1 4 0
1.416  12  2 0 -4

Cell and atoms:
```
data_SiP2O7
_cell_length_a 4.345
_cell_length_b 7.235
_cell_length_c 6.356
_cell_angle_alpha 90.00
_cell_angle_beta 103.69
_cell_angle_gamma 90.00
_symmetry_space_group_name_H-M 'P 1 21/c 1'
_symmetry_Int_Tables_number 14
loop_
_symmetry_equiv_pos_as_xyz
'x,y,z'
'-x,-y,-z'
'-x,y+1/2,-z+1/2'
'x,-y+1/2,z+1/2'
loop_
_atom_site_label
_atom_site_type_symbol
_atom_site_fract_x
_atom_site_fract_y
_atom_site_fract_z
Si1 Si 0.000 0.000 0.000
P1 P 0.388 0.112 0.683
O1 O 0.150 0.511 0.263
O2 O 0.236 0.208 0.092
O3 O 0.310 0.642 0.640
O4 O 0.500 0.000 0.500
```